No. 1
Simulated X-ray diffraction stick pattern of Rb2AgSeBr6 for Cu Ka, from a crystal structure in Alexandria, relaxed with PBE.
Kinematic intensities with the Lorentz-polarization factor, no thermal factor.

Peak list (10 most intense, 15 to 90 degrees two-theta, in order of falling intensity)
| two_theta | I/Imax |
| --- | --- |
| 32.7 | 100.0 |
| 27.8 | 91.3 |
| 45.9 | 71.2 |
| 31.4 | 53.7 |
| 57.5 | 35.3 |
| 46.9 | 34.8 |
| 22.5 | 31.3 |
| 16.2 | 27.2 |
| 55.4 | 24.0 |
| 86.4 | 21.8 |

```
Rb2AgSeBr6
1.0
-3.8772 3.8772 5.7056
3.8772 -3.8772 5.7056
3.8772 3.8772 -5.7056
Rb Ag Se Br
2 1 1 6
direct
0.2500 0.7500 0.5000
0.7500 0.2500 0.5000
0.0000 0.0000 0.0000
0.5000 0.5000 0.0000
0.2284 0.2284 0.0000
0.2616 0.2616 0.5233
0.2616 0.7383 0.0000
0.7383 0.2616 0.0000
0.7383 0.7383 0.4767
0.7716 0.7716 0.0000
```

No. 2
Simulated X-ray diffraction stick pattern of PrCd2Hg2 for Cu Ka, from a crystal structure in Alexandria, relaxed with PBE.
Kinematic intensities with the Lorentz-polarization factor, no thermal factor.

Peak list (10 most intense, 15 to 90 degrees two-theta, in order of falling intensity)
| two_theta | I/Imax |
| --- | --- |
| 32.6 | 100.0 |
| 36.3 | 81.1 |
| 49.6 | 30.8 |
| 63.0 | 29.8 |
| 55.6 | 16.9 |
| 65.3 | 14.5 |
| 86.2 | 12.9 |
| 79.8 | 11.8 |
| 77.1 | 9.1 |
| 68.2 | 9.1 |

```
PrCd2Hg2
1.0
2.4745 1.4287 5.9726
-2.4745 1.4287 5.9726
0.0000 -2.8574 5.9726
Pr Cd Hg
1 2 2
direct
0.0000 0.0000 0.0000
0.2035 0.2035 0.2035
0.7965 0.7965 0.7965
0.4122 0.4122 0.4122
0.5878 0.5878 0.5878
```

No. 3
Simulated X-ray diffraction stick pattern of LiCdCoH6 for Cu Ka, from a crystal structure in Alexandria, relaxed with PBE.
Kinematic intensities with the Lorentz-polarization factor, no thermal factor.

Peak list (10 most intense, 15 to 90 degrees two-theta, in order of falling intensity)
| two_theta | I/Imax |
| --- | --- |
| 31.4 | 100.0 |
| 22.8 | 40.7 |
| 40.1 | 32.8 |
| 51.8 | 23.0 |
| 67.4 | 19.8 |
| 60.4 | 19.4 |
| 49.4 | 9.9 |
| 43.2 | 8.4 |
| 71.9 | 8.1 |
| 88.6 | 6.3 |

```
LiCdCoH6
1.0
4.4979 0.0000 0.0000
-2.2489 3.8953 0.0000
0.0000 0.0000 4.1857
Li Cd Co H
1 1 1 6
direct
0.0000 0.0000 0.0000
0.6667 0.3333 0.5000
0.3333 0.6667 0.0000
0.0643 0.3865 0.2228
0.0643 0.6778 0.7772
0.3222 0.3865 0.7772
0.3222 0.9357 0.2228
0.6135 0.6778 0.2228
0.6135 0.9357 0.7772
```

No. 4
Simulated X-ray diffraction stick pattern of Tb5Ho2Er3 for Cu Ka, from a crystal structure in Alexandria, relaxed with PBE.
Kinematic intensities with the Lorentz-polarization factor, no thermal factor.

Peak list (10 most intense, 15 to 90 degrees two-theta, in order of falling intensity)
| two_theta | I/Imax |
| --- | --- |
| 31.3 | 100.0 |
| 30.5 | 79.0 |
| 31.9 | 59.6 |
| 44.3 | 55.6 |
| 28.8 | 51.1 |
| 34.6 | 45.6 |
| 54.9 | 23.6 |
| 32.7 | 21.3 |
| 25.6 | 20.8 |
| 64.1 | 19.1 |

```
Tb5Ho2Er3
1.0
-5.4841 8.7871 3.3460
5.4841 -8.7871 3.3460
5.4841 8.7871 -3.3460
Tb Ho Er
10 4 6
direct
0.0673 0.7500 0.3173
0.1704 0.1075 0.2778
0.2500 0.2500 0.0000
0.3296 0.6075 0.9371
0.4327 0.7500 0.6827
0.5673 0.2500 0.3173
0.6704 0.3925 0.0629
0.7500 0.7500 0.0000
0.8296 0.8925 0.7222
0.9327 0.2500 0.6827
0.0240 0.2644 0.2884
0.4760 0.7644 0.2403
0.5240 0.2356 0.7597
0.9760 0.7356 0.7116
0.1697 0.7936 0.9633
0.2500 0.7500 0.5000
0.3303 0.2936 0.6238
0.6697 0.7064 0.3762
0.7500 0.2500 0.5000
0.8303 0.2064 0.0367
```

No. 5
Simulated X-ray diffraction stick pattern of BC2 for Cu Ka, from a crystal structure in Alexandria, relaxed with PBE.
Kinematic intensities with the Lorentz-polarization factor, no thermal factor.

Peak list (9 most intense, 15 to 90 degrees two-theta, in order of falling intensity)
| two_theta | I/Imax |
| --- | --- |
| 42.5 | 100.0 |
| 70.8 | 27.8 |
| 75.9 | 11.9 |
| 81.2 | 8.8 |
| 29.6 | 2.3 |
| 52.6 | 1.0 |
| 65.6 | 0.8 |
| 36.6 | 0.7 |
| 84.2 | 0.6 |

```
BC2
1.0
-1.2541 1.2541 6.0448
1.2541 -1.2541 6.0448
1.2541 1.2541 -6.0448
B C
2 4
direct
0.1640 0.1640 0.0000
0.8360 0.8360 0.0000
0.0734 0.5734 0.5000
0.4266 0.9266 0.5000
0.5000 0.5000 0.0000
0.7500 0.2500 0.5000
```

No. 6
Simulated X-ray diffraction stick pattern of Y2AlS4 for Cu Ka, from a crystal structure in Alexandria, relaxed with PBE.
Kinematic intensities with the Lorentz-polarization factor, no thermal factor.

Peak list (10 most intense, 15 to 90 degrees two-theta, in order of falling intensity)
| two_theta | I/Imax |
| --- | --- |
| 19.6 | 100.0 |
| 37.3 | 86.5 |
| 35.1 | 74.4 |
| 35.2 | 74.2 |
| 27.1 | 58.0 |
| 53.3 | 42.5 |
| 39.8 | 39.1 |
| 49.2 | 27.6 |
| 31.6 | 21.9 |
| 32.4 | 21.6 |

```
Y2AlS4
1.0
6.5386 0.0000 0.0000
0.0000 6.5696 0.0000
-2.1189 0.0000 7.0927
Y Al S
4 2 8
direct
0.2126 0.2500 0.0550
0.2244 0.2500 0.5542
0.7756 0.7500 0.4458
0.7874 0.7500 0.9450
0.2574 0.7500 0.8127
0.7426 0.2500 0.1873
0.0064 0.0013 0.7485
0.0064 0.4987 0.7485
0.4523 0.7500 0.6132
0.4526 0.7500 0.1112
0.5474 0.2500 0.8888
0.5477 0.2500 0.3868
0.9936 0.5013 0.2515
0.9936 0.9987 0.2515
```

No. 7
Simulated X-ray diffraction stick pattern of VHRh for Cu Ka, from a crystal structure in Alexandria, relaxed with PBE.
Kinematic intensities with the Lorentz-polarization factor, no thermal factor.

Peak list (10 most intense, 15 to 90 degrees two-theta, in order of falling intensity)
| two_theta | I/Imax |
| --- | --- |
| 40.2 | 100.0 |
| 46.4 | 33.7 |
| 81.8 | 23.4 |
| 68.6 | 19.6 |
| 47.6 | 15.6 |
| 23.3 | 12.6 |
| 32.3 | 12.4 |
| 83.5 | 11.1 |
| 86.9 | 10.3 |
| 67.7 | 10.2 |

```
VHRh
1.0
2.7679 0.0000 0.0000
0.0000 2.7679 0.0000
0.0000 0.0000 3.8227
V H Rh
1 1 1
direct
0.0000 0.0000 0.0000
0.5000 0.5000 0.0000
0.5000 0.5000 0.5000
```

No. 8
Simulated X-ray diffraction stick pattern of Cu2AgAsO4 for Cu Ka, from a crystal structure in Alexandria, relaxed with PBE.
Kinematic intensities with the Lorentz-polarization factor, no thermal factor.

Peak list (10 most intense, 15 to 90 degrees two-theta, in order of falling intensity)
| two_theta | I/Imax |
| --- | --- |
| 32.5 | 100.0 |
| 33.2 | 78.3 |
| 35.3 | 63.2 |
| 57.0 | 34.2 |
| 41.6 | 28.2 |
| 43.3 | 27.1 |
| 62.5 | 26.4 |
| 24.3 | 22.6 |
| 51.8 | 17.6 |
| 61.2 | 15.9 |

```
Cu2AgAsO4
1.0
0.0000 4.1833 3.6631
3.5290 0.0000 3.6631
3.5290 4.1833 0.0000
Cu Ag As O
2 1 1 4
direct
0.0000 0.0000 0.5000
0.5000 0.5000 0.0000
0.1689 0.1689 0.8311
0.6869 0.6869 0.3131
0.0199 0.6197 0.9801
0.3712 0.7052 0.2948
0.6197 0.0199 0.3803
0.7052 0.3712 0.6288
```